This entry pairs a crystal structure of Rb3I7 with its simulated PXRD pattern. Radiation: CuKα. Structure: a PBE-relaxed structure.

abc: 8.9628 8.9628 15.0163
angles: 90.00 90.00 90.00
Space group I4/mmm (No. 139)
Unique sites:
Rb  0.0000  0.0000  0.0000 x2
Rb  0.0000  0.5000  0.2500 x4
I  0.0000  0.0000  0.2322 x4
I  0.0000  0.0000  0.5000 x2
I  0.2284  0.2284  0.5000 x8

Peak list (12 most intense, 10° ≤ 2θ ≤ 90°, most intense first)
hkl	d/Å	I_rel
2 0 2	3.848	100.0
2 2 0	3.169	77.6
2 2 4	2.421	70.3
0 0 4	3.754	61.4
4 0 4	1.924	32.7
1 1 0	6.338	30.4
4 0 0	2.241	27.3
4 2 2	1.936	23.6
0 0 2	7.508	21.6
2 2 8	1.615	18.6
2 0 6	2.185	18.4
6 2 4	1.326	16.8